No. 1
Simulated powder diffraction line list
Compound: Mg14ZrSn
Radiation: a wavelength of 1.5418 Å
Structure: a structure optimized by DFT (PBE)
Kinematic intensities with the Lorentz-polarization factor, no thermal factor.

Principal peaks in the range 10 to 80 degrees two-theta, sorted by position:
| two_theta | I (rel.) |
| --- | --- |
| 18.09 | 31 |
| 32.61 | 29 |
| 34.75 | 39 |
| 36.64 | 52 |
| 37.08 | 100 |
| 63.84 | 22 |

Structural model:
```
Mg14ZrSn
1.0
10.3256 0.0000 0.0000
0.0000 3.1552 5.5737
0.0000 -3.1552 5.5737
Mg Zr Sn
14 1 1
Direct
0.0000 0.9999 0.9999 Mg
0.0000 0.9998 0.5002 Mg
0.0000 0.5002 0.9998 Mg
0.0000 0.5000 0.5000 Mg
0.2501 0.1654 0.1654 Mg
0.2496 0.1646 0.6687 Mg
0.2498 0.6670 0.6670 Mg
0.2496 0.6687 0.1646 Mg
0.5000 0.0014 0.4982 Mg
0.5000 0.4982 0.0014 Mg
0.7499 0.1654 0.1654 Mg
0.7504 0.1646 0.6687 Mg
0.7502 0.6670 0.6670 Mg
0.7504 0.6687 0.1646 Mg
0.5000 0.0006 0.0006 Zr
0.5000 0.4998 0.4998 Sn
```

=====

No. 2
Simulated powder diffraction line list
Compound: AlSbO3
Radiation: a wavelength of 1.5418 Å
Structure: a structure optimized by DFT (PBE)
Kinematic intensities with the Lorentz-polarization factor, no thermal factor.

Principal peaks in the range 10 to 80 degrees two-theta, sorted by position:
| two_theta | I (rel.) |
| --- | --- |
| 19.27 | 30 |
| 23.72 | 33 |
| 30.74 | 100 |
| 34.09 | 17 |
| 46.26 | 19 |
| 58.17 | 19 |

Structural model:
```
AlSbO3
1.0
5.3513 0.0000 0.0000
0.0000 9.2127 0.0000
0.0000 0.0000 5.2594
Al Sb O
4 4 12
Direct
0.0351 0.2500 0.0407 Al
0.4649 0.7500 0.5407 Al
0.5351 0.2500 0.4593 Al
0.9649 0.7500 0.9593 Al
0.0000 0.0000 0.5000 Sb
0.0000 0.5000 0.5000 Sb
0.5000 0.0000 0.0000 Sb
0.5000 0.5000 0.0000 Sb
0.1444 0.0982 0.8676 O
0.1444 0.4018 0.8676 O
0.2148 0.2500 0.3397 O
0.2852 0.7500 0.8397 O
0.3556 0.5982 0.3676 O
0.3556 0.9018 0.3676 O
0.6444 0.0982 0.6324 O
0.6444 0.4018 0.6324 O
0.7148 0.2500 0.1603 O
0.7852 0.7500 0.6603 O
0.8556 0.5982 0.1324 O
0.8556 0.9018 0.1324 O
```

=====

No. 3
Simulated powder diffraction line list
Compound: DyPaO4
Radiation: a wavelength of 1.5418 Å
Structure: a structure optimized by DFT (PBE)
Kinematic intensities with the Lorentz-polarization factor, no thermal factor.

Principal peaks in the range 10 to 80 degrees two-theta, sorted by position:
| two_theta | I (rel.) |
| --- | --- |
| 28.67 | 100 |
| 33.23 | 35 |
| 47.70 | 50 |
| 56.60 | 46 |
| 77.09 | 19 |
| 79.48 | 14 |

Structural model:
```
DyPaO4
1.0
3.8119 0.0000 0.0000
0.0000 3.8119 0.0000
0.0000 0.0000 5.3968
Dy Pa O
1 1 4
Direct
0.0000 0.0000 0.0000 Dy
0.5000 0.5000 0.5000 Pa
0.0000 0.5000 0.2599 O
0.0000 0.5000 0.7401 O
0.5000 0.0000 0.2599 O
0.5000 0.0000 0.7401 O
```

=====

No. 4
Simulated powder diffraction line list
Compound: Ho2ZnCu
Radiation: a wavelength of 1.5418 Å
Structure: a structure optimized by DFT (PBE)
Kinematic intensities with the Lorentz-polarization factor, no thermal factor.

Principal peaks in the range 10 to 80 degrees two-theta, sorted by position:
| two_theta | I (rel.) |
| --- | --- |
| 25.48 | 19 |
| 36.34 | 100 |
| 52.33 | 17 |
| 59.08 | 8 |
| 65.38 | 35 |
| 77.16 | 11 |

Structural model:
```
Ho2ZnCu
1.0
0.0000 3.4964 3.4964
3.4964 0.0000 3.4964
3.4964 3.4964 0.0000
Ho Zn Cu
2 1 1
Direct
0.2500 0.2500 0.2500 Ho
0.7500 0.7500 0.7500 Ho
0.0000 0.0000 0.0000 Zn
0.5000 0.5000 0.5000 Cu
```